Structure and computed powder X-ray diffraction pattern of Na2CaP2O11 (the PBE geometry in the Materials Project; λ = 1.5418 Å (Cu Kα)).
Intensities are scaled so that the largest is 100.

Atomic structure:
a b c (Å): 10.0665 17.2379 6.0160
angles (deg): 90.00 105.60 90.00
Space group Cc (No. 9)
Asymmetric unit:
1 Na 0.0000 0.0676 0.0000 (multiplicity 4)
2 Na 0.3767 0.0749 0.9652 (multiplicity 4)
3 Ca 0.4045 0.2401 0.6479 (multiplicity 4)
4 P 0.0846 0.2888 0.7329 (multiplicity 4)
5 P 0.1017 0.1289 0.5606 (multiplicity 4)
6 O 0.0055 0.3194 0.8951 (multiplicity 4)
7 O 0.0244 0.3205 0.4853 (multiplicity 4)
8 O 0.0294 0.1482 0.3104 (multiplicity 4)
9 O 0.0526 0.0527 0.6482 (multiplicity 4)
10 O 0.0544 0.1940 0.7247 (multiplicity 4)
11 O 0.1007 0.4938 0.1540 (multiplicity 4)
12 O 0.2261 0.4963 0.7154 (multiplicity 4)
13 O 0.2413 0.2994 0.8112 (multiplicity 4)
14 O 0.2542 0.3422 0.4459 (multiplicity 4)
15 O 0.2555 0.0297 0.2472 (multiplicity 4)
16 O 0.2593 0.1324 0.6162 (multiplicity 4)

Principal peaks in the range 5° ≤ 2θ ≤ 70°, by angle:
2θ = 10.26°, rel. 44, (0 2 0); 2θ = 10.47°, rel. 29, (1 1 0); 2θ = 16.40°, rel. 100, (1 1 -1); 2θ = 18.30°, rel. 42, (2 0 0); 2θ = 20.52°, rel. 71, (1 1 1); 2θ = 22.96°, rel. 23, (2 2 -1); 2θ = 25.23°, rel. 29, (1 3 1); 2θ = 27.46°, rel. 60, (1 5 0); 2θ = 31.90°, rel. 22, (3 3 -1); 2θ = 33.14°, rel. 39, (2 2 -2); 2θ = 36.35°, rel. 21, (2 6 0); 2θ = 37.40°, rel. 27, (0 4 2)

***

Structure and computed powder X-ray diffraction pattern of NaCaP3O9 (the PBE geometry in the Materials Project; λ = 1.5418 Å (Cu Kα)).
Intensities are scaled so that the largest is 100.

Atomic structure:
a b c (Å): 6.8106 7.0424 7.7413
angles (deg): 83.53 81.30 82.75
Space group P-1 (No. 2)
Asymmetric unit:
1 Na 0.0335 0.1274 0.1617 (multiplicity 2)
2 Ca 0.4872 0.7724 0.8617 (multiplicity 2)
3 P 0.1151 0.6158 0.2212 (multiplicity 2)
4 P 0.3113 0.8352 0.4462 (multiplicity 2)
5 P 0.3323 0.2979 0.7767 (multiplicity 2)
6 O 0.1226 0.3631 0.7103 (multiplicity 2)
7 O 0.1595 0.7663 0.0699 (multiplicity 2)
8 O 0.1804 0.4077 0.2011 (multiplicity 2)
9 O 0.1894 0.6712 0.3961 (multiplicity 2)
10 O 0.2651 0.8422 0.6411 (multiplicity 2)
11 O 0.2861 0.0149 0.3244 (multiplicity 2)
12 O 0.3280 0.1170 0.9035 (multiplicity 2)
13 O 0.4154 0.4573 0.8456 (multiplicity 2)
14 O 0.4571 0.2575 0.5876 (multiplicity 2)

Principal peaks in the range 5° ≤ 2θ ≤ 70°, by angle:
2θ = 13.23°, rel. 38, (1 0 0); 2θ = 18.07°, rel. 52, (0 1 -1); 2θ = 23.00°, rel. 43, (-1 1 1); 2θ = 23.36°, rel. 47, (0 0 2); 2θ = 25.62°, rel. 58, (0 2 0); 2θ = 26.60°, rel. 84, (1 1 2); 2θ = 27.16°, rel. 49, (0 2 1); 2θ = 27.57°, rel. 47, (1 2 0); 2θ = 27.76°, rel. 65, (0 1 -2); 2θ = 28.23°, rel. 56, (1 2 1); 2θ = 29.23°, rel. 40, (0 2 -1); 2θ = 30.65°, rel. 100, (2 0 -1)

***

Structure and computed powder X-ray diffraction pattern of Na2CaP2O11 (the PBE geometry in the Materials Project; λ = 1.5418 Å (Cu Kα)).
Intensities are scaled so that the largest is 100.

Atomic structure:
a b c (Å): 5.7532 8.8734 9.7180
angles (deg): 90.00 98.71 90.00
Space group Pc (No. 7)
Asymmetric unit:
1 Na 0.0000 0.1306 0.0000 (multiplicity 2)
2 Na 0.4630 0.1843 0.5325 (multiplicity 2)
3 Ca 0.7776 0.4734 0.0741 (multiplicity 2)
4 P 0.1979 0.4499 0.8539 (multiplicity 2)
5 P 0.9745 0.2488 0.3615 (multiplicity 2)
6 O 0.0081 0.3742 0.9235 (multiplicity 2)
7 O 0.0892 0.1002 0.4181 (multiplicity 2)
8 O 0.1466 0.4406 0.6953 (multiplicity 2)
9 O 0.1937 0.3688 0.3951 (multiplicity 2)
10 O 0.4455 0.3959 0.9171 (multiplicity 2)
11 O 0.4771 0.0015 0.2429 (multiplicity 2)
12 O 0.5418 0.3719 0.7026 (multiplicity 2)
13 O 0.5561 0.0568 0.8563 (multiplicity 2)
14 O 0.7779 0.3013 0.4421 (multiplicity 2)
15 O 0.8860 0.1054 0.6103 (multiplicity 2)
16 O 0.8926 0.2506 0.2044 (multiplicity 2)

Principal peaks in the range 5° ≤ 2θ ≤ 70°, by angle:
2θ = 9.97°, rel. 100, (0 1 0); 2θ = 13.59°, rel. 35, (0 1 1); 2θ = 15.58°, rel. 44, (1 0 0); 2θ = 18.48°, rel. 49, (0 0 2); 2θ = 19.63°, rel. 36, (1 1 -1); 2θ = 21.77°, rel. 38, (1 1 1); 2θ = 24.52°, rel. 59, (1 1 -2); 2θ = 26.03°, rel. 47, (1 0 2); 2θ = 30.18°, rel. 35, (1 2 -2); 2θ = 31.64°, rel. 63, (0 3 1); 2θ = 33.07°, rel. 74, (2 1 0); 2θ = 35.66°, rel. 35, (0 3 2)

***

Structure and computed powder X-ray diffraction pattern of NaCaP3O6 (the PBE geometry in the Materials Project; λ = 1.5418 Å (Cu Kα)).
Intensities are scaled so that the largest is 100.

Atomic structure:
a b c (Å): 9.8935 9.8935 9.8935
angles (deg): 90.00 90.00 90.00
Space group P2_13 (No. 198)
Asymmetric unit:
1 Na 0.1282 0.1282 0.1282 (multiplicity 4)
2 Ca 0.1739 0.8261 0.3261 (multiplicity 4)
3 P 0.0181 0.8015 0.6600 (multiplicity 12)
4 O 0.0619 0.3627 0.1945 (multiplicity 12)
5 O 0.0984 0.2122 0.8888 (multiplicity 12)

Principal peaks in the range 5° ≤ 2θ ≤ 70°, by angle:
2θ = 12.65°, rel. 85, (1 1 0); 2θ = 15.51°, rel. 11, (1 1 1); 2θ = 17.93°, rel. 21, (2 0 0); 2θ = 22.01°, rel. 55, (2 1 1); 2θ = 27.04°, rel. 16, (2 2 1); 2θ = 28.53°, rel. 100, (3 0 1); 2θ = 33.90°, rel. 29, (3 2 1); 2θ = 38.61°, rel. 16, (4 1 1); 2θ = 46.82°, rel. 26, (4 3 1); 2θ = 53.18°, rel. 11, (5 2 2); 2θ = 55.75°, rel. 11, (6 0 0); 2θ = 63.03°, rel. 12, (5 2 4)

***

Structure and computed powder X-ray diffraction pattern of Na2CaP4O12 (the PBE geometry in the Materials Project; λ = 1.5418 Å (Cu Kα)).
Intensities are scaled so that the largest is 100.

Atomic structure:
a b c (Å): 9.7770 9.7770 5.0097
angles (deg): 90.00 90.00 90.00
Space group P4/nbm (No. 125, origin choice 2)
Asymmetric unit:
1 Na 0.0000 0.0000 0.0000 (multiplicity 4)
2 Ca 0.2500 0.2500 0.0000 (multiplicity 2)
3 P 0.0325 0.7500 0.5000 (multiplicity 8)
4 O 0.0427 0.1903 0.2672 (multiplicity 16)
5 O 0.1370 0.6370 0.6282 (multiplicity 8)

Principal peaks in the range 5° ≤ 2θ ≤ 70°, by angle:
2θ = 17.70°, rel. 26, (0 0 1); 2θ = 21.91°, rel. 50, (1 1 1); 2θ = 25.77°, rel. 23, (2 2 0); 2θ = 31.44°, rel. 100, (2 2 1); 2θ = 36.77°, rel. 20, (4 0 0); 2θ = 37.72°, rel. 27, (3 2 1); 2θ = 42.16°, rel. 10, (4 1 1); 2θ = 46.67°, rel. 13, (3 1 2); 2θ = 52.29°, rel. 13, (4 0 2); 2θ = 52.98°, rel. 12, (4 4 0); 2θ = 54.07°, rel. 9, (3 3 2); 2θ = 62.92°, rel. 14, (6 2 1)